Record 1
For TbTeAuO, a DFT-relaxed cell (PBE, OQMD) gives the computed X-ray powder pattern in this record (a wavelength of 1.5418 Å).
Neutral-atom scattering factors, no anomalous dispersion.

Crystal structure
a = 20.699 Å, b = 5.716 Å, c = 5.736 Å
α = 90.00°, β = 90.00°, γ = 90.00°
Space group Aea2 (No. 41)
Inequivalent atoms, fractional coordinates:
Tb 0.052 0.250 0.000 x8
Te 0.139 0.249 0.500 x8
Au 0.250 0.497 0.004 x8
O 0.000 0.000 0.250 x4
O 0.000 0.000 0.750 x4

Main lines, sorted by position (2θ from 15° to 90°):
2theta	I_rel	index
17.1	37	4 0 0
28.0	94	4 1 1
31.2	100	0 0 2
32.5	68	2 2 0
34.1	94	6 1 1
35.9	62	4 2 0
41.0	36	6 0 2
45.7	66	2 2 2
48.3	38	4 2 2
54.7	43	10 0 2


Record 2
For TbTlAu3O4, a DFT-relaxed cell (PBE, OQMD) gives the computed X-ray powder pattern in this record (a wavelength of 1.5418 Å).
Neutral-atom scattering factors, no anomalous dispersion.

Crystal structure
a = 5.679 Å, b = 5.679 Å, c = 5.679 Å
α = 90.00°, β = 90.00°, γ = 90.00°
Space group P-43m (No. 215)
Inequivalent atoms, fractional coordinates:
Tb 0.000 0.000 0.000 x1
Tl 0.500 0.500 0.500 x1
Au 0.000 0.000 0.500 x3
O 0.223 0.223 0.777 x4

Main lines, sorted by position (2θ from 15° to 90°):
2theta	I_rel	index
15.6	19	1 0 0
27.2	100	1 1 1
31.5	100	2 0 0
45.2	97	2 2 0
53.5	48	3 1 1
56.1	28	2 2 2
72.6	20	3 3 1
74.8	37	4 2 0
83.4	33	4 2 2
89.7	16	3 3 3


Record 3
For TbYAu2O4, a DFT-relaxed cell (PBE, OQMD) gives the computed X-ray powder pattern in this record (a wavelength of 1.5418 Å).
Neutral-atom scattering factors, no anomalous dispersion.

Crystal structure
a = 3.5515 Å, b = 3.5515 Å, c = 12.1869 Å
α = 90.00°, β = 90.00°, γ = 120.00°
Space group P-3m1 (No. 164)
Inequivalent atoms, fractional coordinates:
Tb 0.0000 0.0000 0.0000 x1
Y 0.0000 0.0000 0.5000 x1
Au 0.3333 0.6667 0.7497 x2
O 0.3333 0.6667 0.5825 x2
O 0.3333 0.6667 0.9168 x2

Main lines, sorted by position (2θ from 15° to 90°):
2theta	I_rel	index
29.3	44	0 0 4
30.0	97	1 0 1
32.6	100	0 1 2
36.6	34	0 1 3
47.6	27	1 0 5
51.5	37	1 1 0
54.1	29	0 1 6
60.3	36	1 1 4
62.3	16	2 0 2
83.6	26	1 1 8


Record 4
For Tc2Au2O5, a DFT-relaxed cell (PBE, OQMD) gives the computed X-ray powder pattern in this record (a wavelength of 1.5418 Å).
Neutral-atom scattering factors, no anomalous dispersion.

Crystal structure
a = 3.804 Å, b = 3.804 Å, c = 8.020 Å
α = 90.00°, β = 90.00°, γ = 90.00°
Space group P4/mmm (No. 123)
Inequivalent atoms, fractional coordinates:
Tc 0.000 0.000 0.241 x2
Au 0.500 0.500 0.000 x1
Au 0.500 0.500 0.500 x1
O 0.000 0.000 0.500 x1
O 0.000 0.500 0.235 x4

Main lines, sorted by position (2θ from 15° to 90°):
2theta	I_rel	index
23.4	10	1 0 0
32.4	100	1 0 2
33.3	42	1 1 0
40.4	13	1 1 2
45.2	13	0 0 4
47.8	23	2 0 0
57.3	18	1 1 4
59.0	37	2 1 2
67.9	15	2 0 4
75.4	9	1 0 6